For RbNdGeS4, a structure optimized by DFT (GGA-PBE) gives the simulated X-ray diffraction stick pattern in this record (Cu Kα, 1.54184 Å).
Lines closer than 0.1° are merged.

Crystal structure
```
data_RbNdGeS4
_chemical_formula_sum 'Rb2 Nd2 Ge2 S8'
_cell_length_a 6.657
_cell_length_b 6.762
_cell_length_c 9.180
_cell_angle_alpha 90.00
_cell_angle_beta 107.41
_cell_angle_gamma 90.00
_space_group_name_H-M_alt 'P 1'
_space_group_IT_number 1
_space_group_name_Hall 'P 1'
loop_
_atom_site_label
_atom_site_type_symbol
_atom_site_fract_x
_atom_site_fract_y
_atom_site_fract_z
Rb1 Rb 0.231 0.250 0.436
Rb2 Rb 0.769 0.750 0.564
Nd1 Nd 0.272 0.250 0.949
Nd2 Nd 0.728 0.750 0.051
Ge1 Ge 0.278 0.750 0.172
Ge2 Ge 0.722 0.250 0.828
S1 S 0.080 0.750 0.326
S2 S 0.080 0.750 0.930
S3 S 0.498 0.505 0.792
S4 S 0.498 0.995 0.792
S5 S 0.502 0.005 0.208
S6 S 0.502 0.495 0.208
S7 S 0.920 0.250 0.070
S8 S 0.920 0.250 0.674
```

Top 10 peaks for 2θ = 10–80°, by angle:
2theta, I (rel.)
10.1, 100.0
16.6, 35.3
19.2, 42.3
24.2, 40.2
24.7, 36.8
26.4, 64.0
29.4, 31.2
31.0, 70.3
32.3, 56.6
38.9, 51.9



For NaLiTl2Ir, a structure optimized by DFT (GGA-PBE) gives the simulated X-ray diffraction stick pattern in this record (Cu Kα, 1.54184 Å).
Lines closer than 0.1° are merged.

Crystal structure
```
data_NaLiTl2Ir
_chemical_formula_sum 'Na1 Li1 Tl2 Ir1'
_cell_length_a 5.271
_cell_length_b 5.271
_cell_length_c 4.919
_cell_angle_alpha 90.00
_cell_angle_beta 90.00
_cell_angle_gamma 90.00
_space_group_name_H-M_alt 'P 1'
_space_group_IT_number 1
_space_group_name_Hall 'P 1'
loop_
_atom_site_label
_atom_site_type_symbol
_atom_site_fract_x
_atom_site_fract_y
_atom_site_fract_z
Na1 Na 0.000 0.000 0.000
Li1 Li 0.500 0.500 0.000
Tl1 Tl 0.000 0.500 0.500
Tl2 Tl 0.500 0.000 0.500
Ir1 Ir 0.500 0.500 0.500
```

Top 10 peaks for 2θ = 10–80°, by angle:
2theta, I (rel.)
16.8, 21.7
18.0, 100.0
24.8, 26.7
30.1, 21.7
34.0, 52.2
36.5, 21.6
38.8, 60.1
48.9, 19.1
50.8, 34.2
52.5, 25.5



For LiY3Te2, a structure optimized by DFT (GGA-PBE) gives the simulated X-ray diffraction stick pattern in this record (Cu Kα, 1.54184 Å).
Lines closer than 0.1° are merged.

Crystal structure
```
data_LiY3Te2
_chemical_formula_sum 'Li4 Y12 Te8'
_cell_length_a 12.231
_cell_length_b 4.224
_cell_length_c 11.779
_cell_angle_alpha 90.00
_cell_angle_beta 90.00
_cell_angle_gamma 90.00
_space_group_name_H-M_alt 'P 1'
_space_group_IT_number 1
_space_group_name_Hall 'P 1'
loop_
_atom_site_label
_atom_site_type_symbol
_atom_site_fract_x
_atom_site_fract_y
_atom_site_fract_z
Li1 Li 0.138 0.250 0.128
Li2 Li 0.362 0.750 0.628
Li3 Li 0.638 0.250 0.372
Li4 Li 0.862 0.750 0.872
Y1 Y 0.043 0.250 0.379
Y2 Y 0.123 0.750 0.929
Y3 Y 0.201 0.250 0.704
Y4 Y 0.299 0.750 0.204
Y5 Y 0.377 0.250 0.429
Y6 Y 0.457 0.750 0.879
Y7 Y 0.543 0.250 0.121
Y8 Y 0.623 0.750 0.571
Y9 Y 0.701 0.250 0.796
Y10 Y 0.799 0.750 0.296
Y11 Y 0.877 0.250 0.071
Y12 Y 0.957 0.750 0.621
Te1 Te 0.031 0.750 0.183
Te2 Te 0.194 0.750 0.493
Te3 Te 0.306 0.250 0.993
Te4 Te 0.469 0.250 0.683
Te5 Te 0.531 0.750 0.317
Te6 Te 0.694 0.750 0.007
Te7 Te 0.806 0.250 0.507
Te8 Te 0.969 0.250 0.817
```

Top 10 peaks for 2θ = 10–80°, by angle:
2theta, I (rel.)
29.9, 54.2
30.2, 52.9
31.1, 65.2
31.4, 69.1
32.0, 84.2
33.8, 41.0
34.1, 100.0
39.5, 74.7
42.8, 62.9
44.4, 55.3



For Ba3SrMg2Si4O14, a structure optimized by DFT (GGA-PBE) gives the simulated X-ray diffraction stick pattern in this record (Cu Kα, 1.54184 Å).
Lines closer than 0.1° are merged.

Crystal structure
```
data_Ba3SrMg2Si4O14
_chemical_formula_sum 'Ba3 Sr1 Mg2 Si4 O14'
_cell_length_a 8.263
_cell_length_b 8.263
_cell_length_c 5.405
_cell_angle_alpha 90.36
_cell_angle_beta 90.36
_cell_angle_gamma 90.63
_space_group_name_H-M_alt 'P 1'
_space_group_IT_number 1
_space_group_name_Hall 'P 1'
loop_
_atom_site_label
_atom_site_type_symbol
_atom_site_fract_x
_atom_site_fract_y
_atom_site_fract_z
Ba1 Ba 0.000 0.000 0.000
Ba2 Ba 0.496 0.828 0.977
Ba3 Ba 0.828 0.496 0.977
Sr1 Sr 0.330 0.330 0.995
Mg1 Mg 0.164 0.662 0.483
Mg2 Mg 0.662 0.164 0.483
Si1 Si 0.034 0.304 0.533
Si2 Si 0.304 0.034 0.533
Si3 Si 0.519 0.519 0.435
Si4 Si 0.797 0.797 0.444
O1 O 0.037 0.308 0.233
O2 O 0.091 0.473 0.675
O3 O 0.170 0.170 0.641
O4 O 0.243 0.861 0.655
O5 O 0.308 0.037 0.233
O6 O 0.352 0.578 0.294
O7 O 0.473 0.091 0.675
O8 O 0.512 0.512 0.735
O9 O 0.578 0.352 0.294
O10 O 0.659 0.659 0.348
O11 O 0.739 0.966 0.310
O12 O 0.801 0.801 0.744
O13 O 0.861 0.243 0.655
O14 O 0.966 0.739 0.310
```

Top 10 peaks for 2θ = 10–80°, by angle:
2theta, I (rel.)
16.4, 22.3
21.5, 18.0
27.1, 23.5
27.3, 20.5
29.2, 100.0
29.3, 43.9
29.5, 43.3
41.3, 21.1
48.3, 19.1
48.4, 19.7



For Cs3Na6Hg, a structure optimized by DFT (GGA-PBE) gives the simulated X-ray diffraction stick pattern in this record (Cu Kα, 1.54184 Å).
Lines closer than 0.1° are merged.

Crystal structure
```
data_Cs3Na6Hg
_chemical_formula_sum 'Cs6 Na12 Hg2'
_cell_length_a 10.403
_cell_length_b 10.403
_cell_length_c 10.403
_cell_angle_alpha 83.39
_cell_angle_beta 83.39
_cell_angle_gamma 83.39
_space_group_name_H-M_alt 'P 1'
_space_group_IT_number 1
_space_group_name_Hall 'P 1'
loop_
_atom_site_label
_atom_site_type_symbol
_atom_site_fract_x
_atom_site_fract_y
_atom_site_fract_z
Cs1 Cs 0.163 0.163 0.546
Cs2 Cs 0.163 0.546 0.163
Cs3 Cs 0.454 0.837 0.837
Cs4 Cs 0.546 0.163 0.163
Cs5 Cs 0.837 0.454 0.837
Cs6 Cs 0.837 0.837 0.454
Na1 Na 0.064 0.800 0.800
Na2 Na 0.199 0.578 0.578
Na3 Na 0.200 0.200 0.936
Na4 Na 0.200 0.936 0.200
Na5 Na 0.422 0.422 0.801
Na6 Na 0.422 0.801 0.422
Na7 Na 0.578 0.199 0.578
Na8 Na 0.578 0.578 0.199
Na9 Na 0.800 0.064 0.800
Na10 Na 0.800 0.800 0.064
Na11 Na 0.801 0.422 0.422
Na12 Na 0.936 0.200 0.200
Hg1 Hg 0.000 0.000 0.000
Hg2 Hg 0.500 0.500 0.500
```

Top 10 peaks for 2θ = 10–80°, by angle:
2theta, I (rel.)
12.8, 22.8
15.4, 20.4
19.2, 43.3
20.1, 31.4
21.5, 100.0
25.7, 29.4
26.0, 46.7
26.6, 45.0
37.3, 24.9
39.1, 50.2



For PrPtAu, a structure optimized by DFT (GGA-PBE) gives the simulated X-ray diffraction stick pattern in this record (Cu Kα, 1.54184 Å).
Lines closer than 0.1° are merged.

Crystal structure
```
data_PrPtAu
_chemical_formula_sum 'Pr4 Pt4 Au4'
_cell_length_a 6.686
_cell_length_b 5.645
_cell_length_c 7.726
_cell_angle_alpha 90.00
_cell_angle_beta 110.62
_cell_angle_gamma 90.00
_space_group_name_H-M_alt 'P 1'
_space_group_IT_number 1
_space_group_name_Hall 'P 1'
loop_
_atom_site_label
_atom_site_type_symbol
_atom_site_fract_x
_atom_site_fract_y
_atom_site_fract_z
Pr1 Pr 0.196 0.123 0.374
Pr2 Pr 0.196 0.377 0.874
Pr3 Pr 0.804 0.623 0.126
Pr4 Pr 0.804 0.877 0.626
Pt1 Pt 0.166 0.642 0.514
Pt2 Pt 0.166 0.858 0.014
Pt3 Pt 0.834 0.142 0.986
Pt4 Pt 0.834 0.358 0.486
Au1 Au 0.429 0.588 0.298
Au2 Au 0.429 0.912 0.798
Au3 Au 0.571 0.088 0.202
Au4 Au 0.571 0.412 0.702
```

Top 10 peaks for 2θ = 10–80°, by angle:
2theta, I (rel.)
20.0, 30.8
31.2, 47.3
32.7, 75.7
34.1, 55.7
34.5, 87.6
38.4, 72.4
38.8, 100.0
41.6, 30.0
43.8, 30.8
58.3, 32.0